Ce3V: calculated PXRD pattern (Cu Kα, 1.54184 Å), based on a crystal structure in Alexandria, relaxed with GGA-PBE.
No peak broadening, texture or thermal motion is included.

The 10 most intense peaks (2θ = 15–90°), sorted by position:
h k l  2theta  I_rel
0 1 1  17.30  22
1 0 1  33.59  78
0 2 2  35.00  100
0 4 0  35.40  52
1 2 1  38.11  66
1 4 1  49.59  51
1 2 3  58.84  41
0 6 2  63.29  17
2 2 2  73.38  23
1 6 3  81.50  18

Structural model:
```
data_Ce3V
_chemical_formula_sum 'Ce6 V2'
_cell_length_a 2.9863
_cell_length_b 10.1438
_cell_length_c 5.9416
_cell_angle_alpha 90.00
_cell_angle_beta 90.00
_cell_angle_gamma 90.00
_space_group_name_H-M_alt 'I m m 2'
_space_group_IT_number 44
loop_
_space_group_symop_operation_xyz
'x,y,z'
'-x,-y,z'
'-x,y,z'
'x,-y,z'
'x+1/2,y+1/2,z+1/2'
'-x+1/2,-y+1/2,z+1/2'
'-x+1/2,y+1/2,z+1/2'
'x+1/2,-y+1/2,z+1/2'
loop_
_atom_site_label
_atom_site_type_symbol
_atom_site_fract_x
_atom_site_fract_y
_atom_site_fract_z
_atom_site_occupancy
Ce1 Ce 0.0000 0.0000 0.0000 1
Ce2 Ce 0.0000 0.2456 0.7903 1
V1 V 0.0000 0.5000 0.9920 1
```